[1]
For Na3In3PS8, DFT lattice parameters and positions (GGA-PBE) gives the simulated X-ray powder pattern in this record (Cu Kα).

Crystal structure
```
data_Na3In3PS8
_chemical_formula_sum 'Na9 In9 P3 S24'
_cell_length_a 7.4991
_cell_length_b 7.4991
_cell_length_c 20.4639
_cell_angle_alpha 90.00
_cell_angle_beta 90.00
_cell_angle_gamma 120.00
_space_group_name_H-M_alt 'R -3 m'
_space_group_IT_number 166
_space_group_name_Hall '-R 3 2"'
loop_
_atom_site_label
_atom_site_type_symbol
_atom_site_fract_x
_atom_site_fract_y
_atom_site_fract_z
Na1 Na 0.0000 0.5000 0.0000
In1 In 0.0000 0.5000 0.5000
P1 P 0.0000 0.0000 0.5000
S1 S 0.0000 0.0000 0.2389
S2 S 0.0271 0.5136 0.2353
```

Main lines, sorted by position (2θ = 5–70°):
2θ = 12.98°, intensity 92, (0 0 3); 2θ = 27.82°, intensity 25, (0 2 1); 2θ = 32.66°, intensity 100, (0 2 4); 2θ = 41.57°, intensity 21, (0 2 7); 2θ = 45.12°, intensity 34, (2 0 8); 2θ = 48.56°, intensity 31, (2 2 0)

[2]
For Cu2NiI4, DFT lattice parameters and positions (GGA-PBE) gives the simulated X-ray powder pattern in this record (Cu Kα).

Crystal structure
```
data_Cu2NiI4
_chemical_formula_sum 'Cu2 Ni1 I4'
_cell_length_a 5.995
_cell_length_b 5.995
_cell_length_c 5.927
_cell_angle_alpha 90.00
_cell_angle_beta 90.00
_cell_angle_gamma 90.00
_space_group_name_H-M_alt 'P -4 2 m'
_space_group_IT_number 111
_space_group_name_Hall 'P -4 2'
loop_
_atom_site_label
_atom_site_type_symbol
_atom_site_fract_x
_atom_site_fract_y
_atom_site_fract_z
Cu1 Cu 0.000 0.500 0.000
Ni1 Ni 0.000 0.000 0.500
I1 I 0.250 0.250 0.744
```

Main lines, sorted by position (2θ = 5–70°):
2θ = 25.84°, intensity 100, (1 1 1); 2θ = 42.66°, intensity 22, (2 2 0); 2θ = 42.92°, intensity 42, (2 0 2); 2θ = 50.55°, intensity 31, (3 1 1); 2θ = 51.00°, intensity 15, (1 1 3); 2θ = 68.61°, intensity 12, (3 1 3)

[3]
For Be4ZnCu8, DFT lattice parameters and positions (GGA-PBE) gives the simulated X-ray powder pattern in this record (Cu Kα).

Crystal structure
```
data_Be4ZnCu8
_chemical_formula_sum 'Be8 Zn2 Cu16'
_cell_length_a 7.970
_cell_length_b 7.970
_cell_length_c 4.544
_cell_angle_alpha 90.00
_cell_angle_beta 90.00
_cell_angle_gamma 90.00
_space_group_name_H-M_alt 'I 4/m m m'
_space_group_IT_number 139
_space_group_name_Hall '-I 4 2'
loop_
_atom_site_label
_atom_site_type_symbol
_atom_site_fract_x
_atom_site_fract_y
_atom_site_fract_z
Be1 Be 0.250 0.250 0.250
Zn1 Zn 0.000 0.000 0.000
Cu1 Cu 0.000 0.217 0.500
Cu2 Cu 0.000 0.344 0.000
```

Main lines, sorted by position (2θ = 5–70°):
2θ = 22.31°, intensity 26, (2 0 0); 2θ = 31.76°, intensity 37, (2 2 0); 2θ = 39.28°, intensity 49, (3 0 1); 2θ = 39.67°, intensity 53, (0 0 2); 2θ = 45.64°, intensity 100, (3 2 1); 2θ = 51.37°, intensity 27, (4 1 1)

[4]
For CdIn3Ga4, DFT lattice parameters and positions (GGA-PBE) gives the simulated X-ray powder pattern in this record (Cu Kα).

Crystal structure
```
data_CdIn3Ga4
_chemical_formula_sum 'Cd1 In3 Ga4'
_cell_length_a 4.254
_cell_length_b 4.357
_cell_length_c 10.433
_cell_angle_alpha 78.58
_cell_angle_beta 87.77
_cell_angle_gamma 89.15
_space_group_name_H-M_alt 'P -1'
_space_group_IT_number 2
_space_group_name_Hall '-P 1'
loop_
_atom_site_label
_atom_site_type_symbol
_atom_site_fract_x
_atom_site_fract_y
_atom_site_fract_z
Cd1 Cd 0.000 0.000 0.000
In1 In 0.014 0.347 0.298
In2 In 0.500 0.500 0.000
Ga1 Ga 0.375 0.229 0.549
Ga2 Ga 0.499 0.899 0.202
```

Main lines, sorted by position (2θ = 5–70°):
2θ = 31.78°, intensity 55, (1 1 2); 2θ = 32.01°, intensity 53, (1 -1 1); 2θ = 32.23°, intensity 100, (1 1 -1); 2θ = 32.85°, intensity 94, (-1 1 2); 2θ = 36.34°, intensity 49, (1 1 3); 2θ = 41.45°, intensity 71, (0 2 1)

Copy entry 2 word for word.
For Cu2NiI4, DFT lattice parameters and positions (GGA-PBE) gives the simulated X-ray powder pattern in this record (Cu Kα).

Crystal structure
```
data_Cu2NiI4
_chemical_formula_sum 'Cu2 Ni1 I4'
_cell_length_a 5.995
_cell_length_b 5.995
_cell_length_c 5.927
_cell_angle_alpha 90.00
_cell_angle_beta 90.00
_cell_angle_gamma 90.00
_space_group_name_H-M_alt 'P -4 2 m'
_space_group_IT_number 111
_space_group_name_Hall 'P -4 2'
loop_
_atom_site_label
_atom_site_type_symbol
_atom_site_fract_x
_atom_site_fract_y
_atom_site_fract_z
Cu1 Cu 0.000 0.500 0.000
Ni1 Ni 0.000 0.000 0.500
I1 I 0.250 0.250 0.744
```

Main lines, sorted by position (2θ = 5–70°):
2θ = 25.84°, intensity 100, (1 1 1); 2θ = 42.66°, intensity 22, (2 2 0); 2θ = 42.92°, intensity 42, (2 0 2); 2θ = 50.55°, intensity 31, (3 1 1); 2θ = 51.00°, intensity 15, (1 1 3); 2θ = 68.61°, intensity 12, (3 1 3)

Repeat the third record exactly.
For Be4ZnCu8, DFT lattice parameters and positions (GGA-PBE) gives the simulated X-ray powder pattern in this record (Cu Kα).

Crystal structure
```
data_Be4ZnCu8
_chemical_formula_sum 'Be8 Zn2 Cu16'
_cell_length_a 7.970
_cell_length_b 7.970
_cell_length_c 4.544
_cell_angle_alpha 90.00
_cell_angle_beta 90.00
_cell_angle_gamma 90.00
_space_group_name_H-M_alt 'I 4/m m m'
_space_group_IT_number 139
_space_group_name_Hall '-I 4 2'
loop_
_atom_site_label
_atom_site_type_symbol
_atom_site_fract_x
_atom_site_fract_y
_atom_site_fract_z
Be1 Be 0.250 0.250 0.250
Zn1 Zn 0.000 0.000 0.000
Cu1 Cu 0.000 0.217 0.500
Cu2 Cu 0.000 0.344 0.000
```

Main lines, sorted by position (2θ = 5–70°):
2θ = 22.31°, intensity 26, (2 0 0); 2θ = 31.76°, intensity 37, (2 2 0); 2θ = 39.28°, intensity 49, (3 0 1); 2θ = 39.67°, intensity 53, (0 0 2); 2θ = 45.64°, intensity 100, (3 2 1); 2θ = 51.37°, intensity 27, (4 1 1)